Computed powder X-ray diffraction pattern of Cu3Ag7 for Cu Ka, from the GGA-PBE geometry in OQMD.

Structure:
```
10
Lattice="2.891 0.000 0.000 0.000 2.891 0.000 0.000 0.000 19.418" Properties=species:S:1:pos:R:3 pbc="T T T"
Cu 0.000 0.000 0.000
Cu 0.000 0.000 3.647
Cu 1.446 1.446 5.101
Ag 0.000 0.000 6.918
Ag 0.000 0.000 11.206
Ag 0.000 0.000 15.472
Ag 1.446 1.446 1.822
Ag 1.446 1.446 9.065
Ag 1.446 1.446 13.341
Ag 1.446 1.446 17.605
```

Top 12 peaks for 2θ = 10–80°, by angle:
h k l  2θ (°)  intensity
1 0 4  36.2  21.6
1 0 5  38.8  100.0
0 0 9  41.9  18.0
1 1 0  44.3  44.2
0 0 10  46.8  5.8
1 1 9  62.6  11.1
2 0 0  64.5  13.5
1 1 10  66.4  7.6
1 0 13  71.0  4.1
1 0 14  76.2  11.7
2 1 5  77.9  23.6
2 0 9  79.9  7.6